Diffraction record for NdGaO3. The powder diffractogram is simulated, not measured: it uses a crystal structure in the Materials Project, relaxed with GGA-PBE and Cu Ka.

Structure:
```
NdGaO3
1.0
5.6159 0.0000 0.0000
0.0000 7.8017 0.0000
0.0000 0.0000 5.4712
Nd Ga O
4 4 12
Cartesian
0.2909 1.9504 0.0717
2.5170 5.8513 2.8073
3.0988 1.9504 2.6639
5.3250 5.8513 5.3996
0.0000 0.0000 2.7356
0.0000 3.9008 2.7356
2.8079 0.0000 0.0000
2.8079 3.9008 0.0000
0.1279 5.8513 2.2573
1.1628 4.2656 4.3320
1.1628 7.4369 4.3320
1.6451 0.3648 1.5964
1.6451 3.5361 1.5964
2.6801 1.9504 4.9929
2.9358 5.8513 0.4783
3.9708 4.2656 3.8748
3.9708 7.4369 3.8748
4.4530 0.3648 1.1392
4.4530 3.5361 1.1392
5.4880 1.9504 3.2139
```

Largest 10 diffraction maxima, by angle, 2θ from 10° to 80°:
(hkl)  2theta  d (Å)  I/Imax
2 0 0  31.87  2.808  21
1 2 1  32.38  2.765  100
0 0 2  32.74  2.736  24
2 0 2  46.34  1.959  23
0 4 0  46.56  1.950  14
3 1 1  53.02  1.727  10
3 2 1  57.11  1.613  11
0 4 2  58.08  1.588  11
1 2 3  58.21  1.585  22
2 4 2  67.80  1.382  15